(1)
H5Pb: theoretical powder XRD pattern (a wavelength of 1.5418 Å), based on a structure optimized by DFT (GGA-PBE).

Atomic structure:
a b c (Å): 4.9353 4.9353 4.0727
angles (deg): 90.00 90.00 147.77
Atoms (fractional coordinates):
H 0.0000 0.0000 0.0000
H 0.2506 0.7494 0.0000
H 0.2513 0.7487 0.5000
H 0.7494 0.2506 0.0000
H 0.7487 0.2513 0.5000
Pb 0.5000 0.5000 0.5000

Main lines, in order of rising 2θ (2θ from 10° to 80°):
- 2θ 18.71, d = 4.741 Å, I 100
- 2θ 21.82, d = 4.073 Å, I 73
- 2θ 28.90, d = 3.089 Å, I 75
- 2θ 34.07, d = 2.632 Å, I 49
- 2θ 40.82, d = 2.210 Å, I 62
- 2θ 43.73, d = 2.070 Å, I 25
- 2θ 44.20, d = 2.049 Å, I 24
- 2θ 49.38, d = 1.845 Å, I 36


(2)
H4Pd3Pb2: theoretical powder XRD pattern (a wavelength of 1.5418 Å), based on a structure optimized by DFT (GGA-PBE).

Atomic structure:
a b c (Å): 5.4209 5.4209 11.0685
angles (deg): 95.47 95.47 122.52
Atoms (fractional coordinates):
H 0.0433 0.0681 0.3637
H 0.0681 0.0433 0.8637
H 0.1889 0.6642 0.1405
H 0.3358 0.8111 0.3595
H 0.6642 0.1889 0.6405
H 0.8111 0.3358 0.8595
H 0.9319 0.9567 0.1363
H 0.9567 0.9319 0.6363
Pd 0.1222 0.8778 0.2500
Pd 0.1746 0.4240 0.3311
Pd 0.4240 0.1746 0.8311
Pd 0.5760 0.8254 0.1689
Pd 0.8254 0.5760 0.6689
Pd 0.8778 0.1222 0.7500
Pb 0.3036 0.5581 0.5975
Pb 0.4419 0.6964 0.9025
Pb 0.5581 0.3036 0.0975
Pb 0.6964 0.4419 0.4025

Main lines, in order of rising 2θ (2θ from 10° to 80°):
- 2θ 19.73, d = 4.501 Å, I 52
- 2θ 20.00, d = 4.440 Å, I 43
- 2θ 34.42, d = 2.606 Å, I 71
- 2θ 35.54, d = 2.526 Å, I 63
- 2θ 37.86, d = 2.377 Å, I 56
- 2θ 39.45, d = 2.284 Å, I 100
- 2θ 43.97, d = 2.059 Å, I 35
- 2θ 44.89, d = 2.019 Å, I 35


(3)
H2Pd6Pb: theoretical powder XRD pattern (a wavelength of 1.5418 Å), based on a structure optimized by DFT (GGA-PBE).

Atomic structure:
a b c (Å): 4.9060 4.9060 9.0871
angles (deg): 98.83 98.83 35.81
Atoms (fractional coordinates):
H 0.1304 0.1304 0.1759
H 0.8696 0.8696 0.8241
Pd 0.0602 0.0602 0.8059
Pd 0.2507 0.2507 0.3578
Pd 0.3494 0.3494 0.9320
Pd 0.6506 0.6506 0.0680
Pd 0.7493 0.7493 0.6422
Pd 0.9398 0.9398 0.1941
Pb 0.0000 0.0000 0.5000

Main lines, in order of rising 2θ (2θ from 10° to 80°):
- 2θ 31.20, d = 2.867 Å, I 41
- 2θ 36.34, d = 2.472 Å, I 63
- 2θ 38.10, d = 2.362 Å, I 40
- 2θ 38.45, d = 2.341 Å, I 100
- 2θ 38.76, d = 2.323 Å, I 81
- 2θ 41.87, d = 2.158 Å, I 71
- 2θ 42.01, d = 2.151 Å, I 96
- 2θ 42.58, d = 2.123 Å, I 45


(4)
H4Pd6Pb: theoretical powder XRD pattern (a wavelength of 1.5418 Å), based on a structure optimized by DFT (GGA-PBE).

Atomic structure:
a b c (Å): 5.8610 5.8610 5.8610
angles (deg): 123.32 123.32 84.35
Atoms (fractional coordinates):
H 0.0227 0.0227 0.7403
H 0.2824 0.2824 0.2597
H 0.7176 0.9773 0.0000
H 0.9773 0.7176 0.0000
Pd 0.0000 0.5000 0.5000
Pd 0.0467 0.4104 0.0000
Pd 0.4104 0.0467 0.0000
Pd 0.5000 0.0000 0.5000
Pd 0.5896 0.5896 0.6363
Pd 0.9533 0.9533 0.3637
Pb 0.5000 0.5000 0.0000

Main lines, in order of rising 2θ (2θ from 10° to 80°):
- 2θ 18.94, d = 4.686 Å, I 37
- 2θ 34.93, d = 2.569 Å, I 21
- 2θ 37.60, d = 2.392 Å, I 59
- 2θ 38.42, d = 2.343 Å, I 100
- 2θ 41.58, d = 2.172 Å, I 26
- 2θ 46.14, d = 1.967 Å, I 23
- 2θ 48.21, d = 1.887 Å, I 22
- 2θ 63.84, d = 1.458 Å, I 16


(5)
H5Pd5Pb: theoretical powder XRD pattern (a wavelength of 1.5418 Å), based on a structure optimized by DFT (GGA-PBE).

Atomic structure:
a b c (Å): 4.7566 5.1944 5.7129
angles (deg): 68.33 85.98 73.22
Atoms (fractional coordinates):
H 0.0000 0.0000 0.0000
H 0.0401 0.5453 0.4105
H 0.3766 0.0773 0.5026
H 0.5287 0.7868 0.2325
H 0.9278 0.8545 0.7242
Pd 0.0109 0.1923 0.6654
Pd 0.1746 0.0648 0.2190
Pd 0.4474 0.4337 0.3737
Pd 0.7293 0.8070 0.5041
Pd 0.8915 0.6722 0.0595
Pb 0.4753 0.4227 0.8803

Main lines, in order of rising 2θ (2θ from 10° to 80°):
- 2θ 19.17, d = 4.629 Å, I 28
- 2θ 31.23, d = 2.864 Å, I 91
- 2θ 35.63, d = 2.520 Å, I 100
- 2θ 38.31, d = 2.350 Å, I 87
- 2θ 38.58, d = 2.333 Å, I 88
- 2θ 38.84, d = 2.319 Å, I 71
- 2θ 41.35, d = 2.184 Å, I 61
- 2θ 45.19, d = 2.007 Å, I 40


(6)
HPd4Pb5: theoretical powder XRD pattern (a wavelength of 1.5418 Å), based on a structure optimized by DFT (GGA-PBE).

Atomic structure:
a b c (Å): 3.5669 7.4130 8.4512
angles (deg): 78.47 77.82 89.80
Atoms (fractional coordinates):
H 0.0000 0.0000 0.0000
Pd 0.0612 0.9434 0.2231
Pd 0.2836 0.0584 0.7772
Pd 0.6655 0.1954 0.0079
Pd 0.6732 0.8063 0.9919
Pb 0.1707 0.5008 0.0000
Pb 0.4891 0.1753 0.3662
Pb 0.5083 0.6412 0.3359
Pb 0.8396 0.3609 0.6636
Pb 0.8578 0.8281 0.6329

Main lines, in order of rising 2θ (2θ from 10° to 80°):
- 2θ 28.94, d = 3.085 Å, I 49
- 2θ 30.04, d = 2.975 Å, I 70
- 2θ 33.23, d = 2.696 Å, I 66
- 2θ 34.85, d = 2.574 Å, I 100
- 2θ 34.98, d = 2.565 Å, I 98
- 2θ 37.53, d = 2.396 Å, I 53
- 2θ 49.35, d = 1.847 Å, I 37
- 2θ 51.22, d = 1.783 Å, I 39


(7)
HPd6Pb: theoretical powder XRD pattern (a wavelength of 1.5418 Å), based on a structure optimized by DFT (GGA-PBE).

Atomic structure:
a b c (Å): 5.0486 5.0486 5.0486
angles (deg): 99.72 99.72 99.72
Atoms (fractional coordinates):
H 0.0000 0.0000 0.0000
Pd 0.0860 0.7180 0.7180
Pd 0.2820 0.2820 0.9140
Pd 0.2820 0.9140 0.2820
Pd 0.7180 0.0860 0.7180
Pd 0.7180 0.7180 0.0860
Pd 0.9140 0.2820 0.2820
Pb 0.5000 0.5000 0.5000

Main lines, in order of rising 2θ (2θ from 10° to 80°):
- 2θ 37.78, d = 2.381 Å, I 100
- 2θ 37.92, d = 2.372 Å, I 35
- 2θ 43.95, d = 2.060 Å, I 64
- 2θ 47.09, d = 1.930 Å, I 12
- 2θ 64.00, d = 1.455 Å, I 21
- 2θ 71.85, d = 1.314 Å, I 14
- 2θ 73.63, d = 1.286 Å, I 12
- 2θ 76.87, d = 1.240 Å, I 12


(8)
HPd5Pb4: theoretical powder XRD pattern (a wavelength of 1.5418 Å), based on a structure optimized by DFT (GGA-PBE).

Atomic structure:
a b c (Å): 6.8779 6.8779 6.8779
angles (deg): 95.92 95.92 142.54
Atoms (fractional coordinates):
H 0.0000 0.0000 0.0000
Pd 0.2421 0.2421 0.3240
Pd 0.2421 0.9181 0.0000
Pd 0.5933 0.5933 0.0000
Pd 0.9181 0.2421 0.0000
Pd 0.9181 0.9181 0.6760
Pb 0.2703 0.5747 0.6956
Pb 0.5747 0.2703 0.6956
Pb 0.5747 0.8791 0.3044
Pb 0.8791 0.5747 0.3044

Main lines, in order of rising 2θ (2θ from 10° to 80°):
- 2θ 29.65, d = 3.013 Å, I 11
- 2θ 35.61, d = 2.521 Å, I 100
- 2θ 40.85, d = 2.209 Å, I 19
- 2θ 41.60, d = 2.171 Å, I 30
- 2θ 57.81, d = 1.595 Å, I 11
- 2θ 59.72, d = 1.548 Å, I 20
- 2θ 70.99, d = 1.328 Å, I 13
- 2θ 72.02, d = 1.311 Å, I 19